For Na3MgSbS4, a crystal structure in the Materials Project, relaxed with PBE gives the simulated powder XRD pattern in this record (Cu Ka).

Most intense lines, 10 to 80 degrees two-theta, sorted by position:
Position (°2θ)	d [Å]	I (rel.)
11.81	7.492	93
15.60	5.681	52
18.73	4.737	90
20.45	4.342	51
23.75	3.746	59
31.49	2.841	100
35.80	2.508	29
38.01	2.368	56
40.76	2.214	34
41.60	2.171	35

Structural model:
```
Na3MgSbS4
1.0
3.9011 -4.1809 0.0000
3.9011 4.1809 0.0000
-0.9278 0.0000 7.4919
Na Mg Sb S
3 1 1 4
Direct
0.0000 0.0000 0.0000
0.5023 0.9292 0.3964
0.9292 0.5023 0.3964
0.1496 0.1496 0.6221
0.4921 0.4921 0.8359
0.0503 0.4694 0.8419
0.4531 0.4531 0.5068
0.4694 0.0503 0.8419
0.9713 0.9713 0.3503
```

---

For ZrNiGe, a crystal structure in the Materials Project, relaxed with PBE gives the simulated powder XRD pattern in this record (Cu Ka).

Most intense lines, 10 to 80 degrees two-theta, sorted by position:
Position (°2θ)	d [Å]	I (rel.)
36.04	2.492	62
36.38	2.470	19
37.74	2.384	100
38.73	2.325	23
42.89	2.109	20
43.20	2.094	44
45.44	1.996	18
46.68	1.946	39
48.05	1.893	18
70.54	1.335	17

Structural model:
```
ZrNiGe
1.0
6.5950 0.0000 0.0000
0.0000 3.8917 0.0000
0.0000 0.0000 7.4533
Zr Ni Ge
4 4 4
Direct
0.0199 0.2500 0.1885
0.4801 0.7500 0.6885
0.5199 0.2500 0.3115
0.9801 0.7500 0.8115
0.1400 0.2500 0.5605
0.3600 0.7500 0.0605
0.6400 0.2500 0.9395
0.8600 0.7500 0.4395
0.2324 0.7500 0.3831
0.2676 0.2500 0.8831
0.7324 0.7500 0.1169
0.7676 0.2500 0.6169
```

---

For Cs2InI6O18, a crystal structure in the Materials Project, relaxed with PBE gives the simulated powder XRD pattern in this record (Cu Ka).

Most intense lines, 10 to 80 degrees two-theta, sorted by position:
Position (°2θ)	d [Å]	I (rel.)
22.58	3.938	26
23.66	3.760	100
25.40	3.506	95
25.58	3.483	45
26.79	3.328	84
26.96	3.307	81
27.12	3.289	79
31.58	2.833	28
31.82	2.812	27
37.50	2.398	30

Structural model:
```
Cs2InI6O18
1.0
8.0038 0.0000 0.0000
-1.1067 7.9557 0.0000
-1.1900 -1.2068 7.8866
Cs In I O
2 1 6 18
Direct
0.1692 0.1581 0.1549
0.8308 0.8419 0.8451
0.5000 0.5000 0.5000
0.1316 0.6948 0.3344
0.2940 0.6615 0.8667
0.3356 0.1179 0.6821
0.6644 0.8821 0.3179
0.7060 0.3385 0.1333
0.8684 0.3052 0.6656
0.0783 0.6951 0.1085
0.0976 0.5964 0.7101
0.1024 0.0673 0.6576
0.2810 0.5381 0.3209
0.2959 0.8874 0.3959
0.3053 0.8905 0.9036
0.3360 0.2691 0.5270
0.3812 0.2733 0.8771
0.4508 0.6611 0.7199
0.5492 0.3389 0.2801
0.6188 0.7267 0.1229
0.6640 0.7309 0.4730
0.6947 0.1095 0.0964
0.7041 0.1126 0.6041
0.7190 0.4619 0.6791
0.8976 0.9327 0.3424
0.9024 0.4036 0.2899
0.9217 0.3049 0.8915
```